# 1
Computed powder diffractogram
Compound: NaTb3
Radiation: Cu Ka
Structure: a crystal structure in the Materials Project, relaxed with PBE

```
data_NaTb3
_space_group_name_H-M_alt 'F m -3 m'
_space_group_IT_number 225
_space_group_name_Hall '-F 4 2 3'
_cell_length_a 7.982
_cell_length_b 7.982
_cell_length_c 7.982
_cell_angle_alpha 90.00
_cell_angle_beta 90.00
_cell_angle_gamma 90.00
loop_
_atom_site_label
_atom_site_type_symbol
_atom_site_fract_x
_atom_site_fract_y
_atom_site_fract_z
Na1 Na 0.000 0.000 0.000
Tb1 Tb 0.000 0.000 0.500
Tb2 Tb 0.250 0.250 0.250
```

Principal peaks in the range 2θ = 10–80°, low angle first:
| 2θ (°) | Rel. int. |
| --- | --- |
| 19.26 | 162 |
| 22.27 | 86 |
| 31.71 | 1000 |
| 37.36 | 92 |
| 45.45 | 185 |
| 49.79 | 41 |
| 51.18 | 38 |
| 56.48 | 388 |
| 66.23 | 120 |
| 75.30 | 165 |

---

# 2
Computed powder diffractogram
Compound: NaTb3
Radiation: Cu Ka
Structure: a crystal structure in the Materials Project, relaxed with PBE

```
data_NaTb3
_space_group_name_H-M_alt 'P 63/m m c'
_space_group_IT_number 194
_space_group_name_Hall '-P 6c 2c'
_cell_length_a 7.2302
_cell_length_b 7.2302
_cell_length_c 5.7705
_cell_angle_alpha 90.00
_cell_angle_beta 90.00
_cell_angle_gamma 120.00
loop_
_atom_site_label
_atom_site_type_symbol
_atom_site_fract_x
_atom_site_fract_y
_atom_site_fract_z
Na1 Na 0.3333 0.6667 0.2500
Tb1 Tb 0.1641 0.3282 0.7500
```

Principal peaks in the range 2θ = 10–80°, low angle first:
| 2θ (°) | Rel. int. |
| --- | --- |
| 14.14 | 111 |
| 20.93 | 196 |
| 28.51 | 235 |
| 30.99 | 253 |
| 32.54 | 1000 |
| 42.61 | 159 |
| 50.49 | 193 |
| 56.12 | 212 |
| 60.44 | 225 |
| 61.37 | 161 |

---

# 3
Computed powder diffractogram
Compound: NaTbTl2
Radiation: Cu Ka
Structure: a crystal structure in the Materials Project, relaxed with PBE

```
data_NaTbTl2
_space_group_name_H-M_alt 'F m -3 m'
_space_group_IT_number 225
_space_group_name_Hall '-F 4 2 3'
_cell_length_a 7.613
_cell_length_b 7.613
_cell_length_c 7.613
_cell_angle_alpha 90.00
_cell_angle_beta 90.00
_cell_angle_gamma 90.00
loop_
_atom_site_label
_atom_site_type_symbol
_atom_site_fract_x
_atom_site_fract_y
_atom_site_fract_z
Na1 Na 0.000 0.000 0.000
Tb1 Tb 0.000 0.000 0.500
Tl1 Tl 0.250 0.250 0.250
```

Principal peaks in the range 2θ = 10–80°, low angle first:
| 2θ (°) | Rel. int. |
| --- | --- |
| 20.20 | 121 |
| 23.37 | 166 |
| 33.29 | 1000 |
| 39.25 | 67 |
| 41.07 | 53 |
| 47.79 | 184 |
| 53.85 | 75 |
| 59.48 | 384 |
| 69.89 | 119 |
| 79.65 | 166 |

---

# 4
Computed powder diffractogram
Compound: NaTc3
Radiation: Cu Ka
Structure: a crystal structure in the Materials Project, relaxed with PBE

```
data_NaTc3
_space_group_name_H-M_alt 'F m -3 m'
_space_group_IT_number 225
_space_group_name_Hall '-F 4 2 3'
_cell_length_a 6.224
_cell_length_b 6.224
_cell_length_c 6.224
_cell_angle_alpha 90.00
_cell_angle_beta 90.00
_cell_angle_gamma 90.00
loop_
_atom_site_label
_atom_site_type_symbol
_atom_site_fract_x
_atom_site_fract_y
_atom_site_fract_z
Na1 Na 0.000 0.000 0.000
Tc1 Tc 0.000 0.000 0.500
Tc2 Tc 0.250 0.250 0.250
```

Principal peaks in the range 2θ = 10–80°, low angle first:
| 2θ (°) | Rel. int. |
| --- | --- |
| 24.78 | 142 |
| 28.68 | 73 |
| 41.01 | 1000 |
| 48.51 | 67 |
| 50.82 | 20 |
| 59.40 | 163 |
| 65.35 | 28 |
| 67.27 | 25 |
| 74.71 | 321 |